1.
Computed powder diffractogram
Compound: YErAu4
Radiation: Cu Kα (λ = 1.5418 Å)
Structure: a DFT-relaxed cell (GGA-PBE, OQMD)

Largest 10 diffraction maxima, by angle, 10° ≤ 2θ ≤ 90°:
| hkl | d [Å] | 2theta | intensity |
| --- | --- | --- | --- |
| 1 1 0 | 2.630 | 34.08 | 69 |
| 1 0 3 | 2.342 | 38.44 | 100 |
| 2 0 0 | 1.860 | 48.97 | 25 |
| 0 0 6 | 1.507 | 61.53 | 6 |
| 2 1 3 | 1.457 | 63.91 | 46 |
| 2 2 0 | 1.315 | 71.77 | 8 |
| 1 1 6 | 1.308 | 72.24 | 16 |
| 3 1 0 | 1.176 | 81.89 | 12 |
| 2 0 6 | 1.171 | 82.35 | 11 |
| 3 0 3 | 1.147 | 84.48 | 11 |

Atomic structure:
```
data_YErAu4
_cell_length_a 3.7201
_cell_length_b 3.7201
_cell_length_c 9.0432
_cell_angle_alpha 90.00
_cell_angle_beta 90.00
_cell_angle_gamma 90.00
_space_group_name_H-M_alt 'P 4/m m m'
_space_group_IT_number 123
_space_group_name_Hall '-P 4 2'
loop_
_atom_site_label
_atom_site_fract_x
_atom_site_fract_y
_atom_site_fract_z
Y1 0.0000 0.0000 0.0000
Er1 0.5000 0.5000 0.5000
Au1 0.0000 0.0000 0.3373
Au2 0.5000 0.5000 0.1673
```

***

2.
Computed powder diffractogram
Compound: CsZr3Pb5
Radiation: Cu Kα (λ = 1.5418 Å)
Structure: a DFT-relaxed cell (GGA-PBE, OQMD)

Largest 10 diffraction maxima, by angle, 10° ≤ 2θ ≤ 90°:
| hkl | d [Å] | 2theta | intensity |
| --- | --- | --- | --- |
| 1 0 2 | 3.234 | 27.58 | 57 |
| 1 1 0 | 3.112 | 28.68 | 100 |
| 0 0 3 | 2.695 | 33.24 | 27 |
| 2 0 1 | 2.557 | 35.09 | 27 |
| 2 0 2 | 2.243 | 40.21 | 61 |
| 1 1 3 | 2.037 | 44.47 | 31 |
| 2 1 2 | 1.820 | 50.14 | 23 |
| 3 0 0 | 1.797 | 50.81 | 21 |
| 2 2 0 | 1.556 | 59.39 | 24 |
| 0 0 6 | 1.348 | 69.79 | 21 |

Atomic structure:
```
data_CsZr3Pb5
_cell_length_a 6.2249
_cell_length_b 6.2249
_cell_length_c 8.0849
_cell_angle_alpha 90.00
_cell_angle_beta 90.00
_cell_angle_gamma 120.00
_space_group_name_H-M_alt 'P 6/m m m'
_space_group_IT_number 191
_space_group_name_Hall '-P 6 2'
loop_
_atom_site_label
_atom_site_fract_x
_atom_site_fract_y
_atom_site_fract_z
Cs1 0.0000 0.0000 0.0000
Zr1 0.0000 0.5000 0.5000
Pb1 0.0000 0.0000 0.5000
Pb2 0.3333 0.6667 0.1905
```

***

3.
Computed powder diffractogram
Compound: Tb4In5S13
Radiation: Cu Kα (λ = 1.5418 Å)
Structure: a DFT-relaxed cell (GGA-PBE, OQMD)

Largest 10 diffraction maxima, by angle, 10° ≤ 2θ ≤ 90°:
| hkl | d [Å] | 2theta | intensity |
| --- | --- | --- | --- |
| 0 6 0 | 3.589 | 24.80 | 61 |
| 1 2 1 | 3.485 | 25.56 | 31 |
| 3 3 0 | 3.473 | 25.65 | 100 |
| 1 3 1 | 3.277 | 27.21 | 42 |
| 3 1 1 | 2.749 | 32.57 | 33 |
| 2 5 1 | 2.591 | 34.62 | 34 |
| 2 7 1 | 2.233 | 40.39 | 26 |
| 3 9 0 | 2.049 | 44.20 | 30 |
| 0 0 2 | 1.937 | 46.92 | 25 |
| 3 3 2 | 1.691 | 54.23 | 26 |

Atomic structure:
```
data_Tb4In5S13
_cell_length_a 11.9041
_cell_length_b 21.5364
_cell_length_c 3.8731
_cell_angle_alpha 90.00
_cell_angle_beta 90.00
_cell_angle_gamma 90.00
_space_group_name_H-M_alt 'P b a m'
_space_group_IT_number 55
_space_group_name_Hall '-P 2 2ab'
loop_
_atom_site_label
_atom_site_fract_x
_atom_site_fract_y
_atom_site_fract_z
Tb1 0.0172 0.1737 0.0000
Tb2 0.1752 0.3410 0.0000
In1 0.0000 0.5000 0.0000
In2 0.1538 0.9928 0.5000
In3 0.1577 0.6686 0.5000
S1 0.0000 0.0000 0.0000
S2 0.0028 0.4072 0.5000
S3 0.0832 0.2626 0.5000
S4 0.1490 0.8649 0.5000
S5 0.1544 0.1151 0.5000
S6 0.1663 0.7407 0.0000
S7 0.2035 0.4735 0.0000
```

***

4.
Computed powder diffractogram
Compound: PrSiHO4
Radiation: Cu Kα (λ = 1.5418 Å)
Structure: a DFT-relaxed cell (GGA-PBE, OQMD)

Largest 10 diffraction maxima, by angle, 10° ≤ 2θ ≤ 90°:
| hkl | d [Å] | 2theta | intensity |
| --- | --- | --- | --- |
| 2 1 0 | 4.118 | 21.58 | 77 |
| 0 1 1 | 3.832 | 23.21 | 42 |
| 0 2 0 | 3.642 | 24.44 | 100 |
| 1 1 1 | 3.578 | 24.88 | 39 |
| 2 0 1 | 3.347 | 26.64 | 82 |
| 3 1 1 | 2.514 | 35.71 | 35 |
| 2 2 1 | 2.464 | 36.46 | 42 |
| 4 0 1 | 2.185 | 41.33 | 41 |
| 1 1 2 | 2.104 | 42.98 | 42 |
| 4 1 1 | 2.092 | 43.24 | 31 |

Atomic structure:
```
data_PrSiHO4
_cell_length_a 9.9938
_cell_length_b 7.2845
_cell_length_c 4.5065
_cell_angle_alpha 90.00
_cell_angle_beta 90.00
_cell_angle_gamma 90.00
_space_group_name_H-M_alt 'P n m a'
_space_group_IT_number 62
_space_group_name_Hall '-P 2ac 2n'
loop_
_atom_site_label
_atom_site_fract_x
_atom_site_fract_y
_atom_site_fract_z
Pr1 0.0974 0.2500 0.1562
Si1 0.1430 0.7500 0.3463
H1 0.0000 0.0000 0.5000
O1 0.0469 0.5683 0.2716
O2 0.1578 0.7500 0.7052
O3 0.2079 0.2500 0.7052
```